La3HoMg: computed XRD peak list (Cu Kα (λ = 1.5418 Å)), based on a GGA-PBE-relaxed structure.
Intensities are scaled so that the largest is 100.

Structure:
a = 5.589 Å, b = 7.048 Å, c = 9.021 Å
α = 91.75°, β = 108.03°, γ = 90.00°
Atoms (fractional coordinates):
La 0.008 0.262 0.015
La 0.203 0.658 0.407
La 0.390 0.004 0.780
La 0.610 0.996 0.220
La 0.797 0.342 0.593
La 0.992 0.738 0.985
Ho 0.403 0.495 0.807
Ho 0.597 0.505 0.193
Mg 0.205 0.166 0.411
Mg 0.795 0.834 0.589

The 12 most intense peaks (10 to 90 degrees two-theta), by intensity:
| h k l | d (Å) | 2θ/deg | I/Imax |
| --- | --- | --- | --- |
| 1 0 2 | 2.923 | 30.59 | 100 |
| 2 0 -1 | 2.795 | 32.03 | 25 |
| 0 2 -2 | 2.765 | 32.37 | 20 |
| 3 0 1 | 1.637 | 56.19 | 18 |
| 2 2 -3 | 1.966 | 46.18 | 15 |
| 1 2 -5 | 1.625 | 56.63 | 12 |
| 1 -2 0 | 2.949 | 30.30 | 10 |
| 0 2 3 | 2.185 | 41.31 | 9 |
| 2 2 2 | 1.721 | 53.21 | 9 |
| 2 0 4 | 1.461 | 63.67 | 8 |
| 0 2 2 | 2.677 | 33.47 | 7 |
| 0 0 5 | 1.715 | 53.44 | 7 |